Co2P3H3PbO9: computed X-ray powder pattern (Cu Kα, 1.54184 Å), based on the PBE+U geometry in OQMD.
Neutral-atom scattering factors, no anomalous dispersion.

Crystal structure
Unit cell a=8.8631 b=8.8631 c=8.8631 alpha=35.01 beta=35.01 gamma=35.01
Fractional positions:
1 Co 0.0000 0.0000 0.0000
2 Co 0.1139 0.1139 0.1139
3 P 0.4086 0.4086 0.4086
4 P 0.6371 0.6371 0.6371
5 P 0.8178 0.8178 0.8178
6 H 0.4648 0.4648 0.4648
7 H 0.6932 0.6932 0.6932
8 H 0.7616 0.7616 0.7616
9 Pb 0.2441 0.2441 0.2441
10 O 0.2309 0.2309 0.7116
11 O 0.2309 0.7116 0.2309
12 O 0.3019 0.7751 0.7751
13 O 0.5129 0.9949 0.9949
14 O 0.7116 0.2309 0.2309
15 O 0.7751 0.3019 0.7751
16 O 0.7751 0.7751 0.3019
17 O 0.9949 0.5129 0.9949
18 O 0.9949 0.9949 0.5129

The 10 most intense peaks (15° ≤ 2θ ≤ 90°), by intensity:
2theta	d/Å	intensity
19.55	4.540	100
26.31	3.388	82
33.62	2.666	75
31.73	2.820	59
34.73	2.583	42
20.51	4.330	36
47.32	1.921	29
49.11	1.855	23
41.72	2.165	21
58.93	1.567	19